[1]
Structure and computed powder XRD pattern of LaHoW2C3 (DFT lattice parameters and positions (PBE); Cu Kα, 1.54184 Å).

Crystal structure
Cell: 12.151 3.379 5.863 Å, 90.00 114.54 90.00°
Space group Cm (No. 8)
Inequivalent atoms, fractional coordinates:
La 0.000 0.000 0.000
Ho 0.284 0.500 0.370
W 0.056 0.500 0.521
W 0.240 0.000 0.876
C 0.148 0.000 0.468
C 0.150 0.500 0.925
C 0.394 0.000 0.212

Principal peaks in the range 2θ = 5–70°, by angle:
29.6°, I = 25, (4 0 -1)
30.6°, I = 55, (2 0 -2)
32.4°, I = 38, (4 0 0)
33.6°, I = 28, (0 0 2)
34.1°, I = 100, (1 1 1)
35.2°, I = 77, (3 1 -1)
35.8°, I = 25, (4 0 -2)
54.3°, I = 44, (0 2 0)

***

[2]
Structure and computed powder XRD pattern of RbPt3Pb5 (DFT lattice parameters and positions (PBE); Cu Kα, 1.54184 Å).

Crystal structure
Cell: 5.7517 5.7517 8.7305 Å, 90.00 90.00 120.00°
Space group P6/mmm (No. 191)
Inequivalent atoms, fractional coordinates:
Rb 0.0000 0.0000 0.0000
Pt 0.0000 0.5000 0.5000
Pb 0.0000 0.0000 0.5000
Pb 0.3333 0.6667 0.2208

Principal peaks in the range 2θ = 5–70°, by angle:
10.1°, I = 90, (0 0 1)
27.2°, I = 46, (1 0 2)
30.7°, I = 30, (0 0 3)
31.1°, I = 60, (1 1 0)
37.4°, I = 38, (1 1 2)
37.6°, I = 51, (2 0 1)
41.8°, I = 100, (2 0 2)
64.8°, I = 25, (2 2 0)